La6NdHg: computed powder diffractogram (Cu Kα, 1.54184 Å), based on the PBE geometry in Alexandria.
Neutral-atom scattering factors, no anomalous dispersion.

Cell and atoms:
```
8
Lattice="5.116 0.000 0.000 0.000 5.116 0.000 0.000 0.000 10.372" Properties=species:S:1:pos:R:3 pbc="T T T"
La 0.000 0.000 0.000
La 0.000 0.000 5.186
La 0.000 2.558 2.534
La 0.000 2.558 7.838
La 2.558 0.000 2.534
La 2.558 0.000 7.838
Nd 2.558 2.558 5.186
Hg 2.558 2.558 0.000
```

Principal peaks in the range 2θ = 5–70°, in order of rising 2θ:
- 2θ = 30.12°, d 2.967, intensity 100
- 2θ = 34.59°, d 2.593, intensity 17
- 2θ = 35.08°, d 2.558, intensity 33
- 2θ = 50.09°, d 1.821, intensity 24
- 2θ = 59.24°, d 1.560, intensity 14
- 2θ = 59.90°, d 1.544, intensity 28